Computed powder X-ray diffraction pattern of Ce3Sb3Au2 for a wavelength of 1.5418 Å, from a DFT-relaxed cell (GGA-PBE, the Materials Project).
Peak positions follow from Bragg's law for the DFT cell and can differ from measured ones.

Crystal structure
Lattice parameters (Å, degrees): 4.6564 4.6564 23.7826 90.00 90.00 120.00
Space group P6_3/mmc (No. 194)
One atom of each set of equivalent atoms:
1 Ce 0.3333 0.6667 0.0748
2 Ce 0.3333 0.6667 0.2500
3 Sb 0.0000 0.0000 0.0000
4 Sb 0.3333 0.6667 0.6531
5 Au 0.0000 0.0000 0.1871

Main lines, sorted by position (5° ≤ 2θ ≤ 70°):
| 2θ (°) | d/Å | I (rel.) |
| --- | --- | --- |
| 7.43 | 11.891 | 47 |
| 29.03 | 3.076 | 78 |
| 31.65 | 2.827 | 62 |
| 38.67 | 2.328 | 100 |
| 44.21 | 2.049 | 34 |
| 49.07 | 1.856 | 18 |
| 50.80 | 1.797 | 17 |
| 64.16 | 1.451 | 16 |
| 65.63 | 1.423 | 16 |
| 69.99 | 1.344 | 17 |